# 1
Calculated PXRD pattern of LiMnPO4 for Cu Ka, from the PBE+U geometry in the Materials Project.
Lines closer than 0.1° are merged.

Most intense lines, 2θ = 5–70°, by angle:
2θ 14.8, intensity 41; 2θ 15.3, intensity 36; 2θ 19.7, intensity 90; 2θ 20.3, intensity 84; 2θ 22.9, intensity 100; 2θ 26.9, intensity 23; 2θ 28.0, intensity 35; 2θ 29.8, intensity 27; 2θ 34.1, intensity 26; 2θ 35.1, intensity 19; 2θ 38.4, intensity 19; 2θ 40.5, intensity 16

Structural model:
Cell: 5.2398 7.9812 9.0226 Å, 87.23 87.25 77.26°
Space group P-1 (No. 2)
Unique sites:
Li 0.1318 0.4700 0.1478 [2 per cell]
Li 0.1748 0.9343 0.2665 [2 per cell]
Mn 0.2395 0.6855 0.5895 [2 per cell]
Mn 0.3105 0.1807 0.9383 [2 per cell]
P 0.2384 0.2913 0.6145 [2 per cell]
P 0.2436 0.7794 0.9190 [2 per cell]
O 0.0065 0.7854 0.4090 [2 per cell]
O 0.0636 0.6713 0.0039 [2 per cell]
O 0.1170 0.8491 0.7701 [2 per cell]
O 0.1443 0.4646 0.6959 [2 per cell]
O 0.2660 0.9304 0.0215 [2 per cell]
O 0.3737 0.3261 0.4643 [2 per cell]
O 0.4316 0.1650 0.7166 [2 per cell]
O 0.4726 0.3244 0.1014 [2 per cell]

=====

# 2
Calculated PXRD pattern of Li2Mn3P4O14 for Cu Ka, from the PBE+U geometry in the Materials Project.
Lines closer than 0.1° are merged.

Most intense lines, 2θ = 5–70°, by angle:
2θ 12.6, intensity 97; 2θ 14.6, intensity 32; 2θ 17.1, intensity 77; 2θ 22.2, intensity 35; 2θ 26.4, intensity 60; 2θ 28.4, intensity 62; 2θ 28.7, intensity 68; 2θ 28.9, intensity 77; 2θ 29.4, intensity 100; 2θ 32.2, intensity 31; 2θ 33.4, intensity 31; 2θ 46.7, intensity 27

Structural model:
Cell: 7.4705 7.9993 9.8376 Å, 90.00 109.90 90.00°
Space group P2_1/c (No. 14)
Unique sites:
Li 0.2088 0.0802 0.1466 [4 per cell]
Mn 0.3017 0.1220 0.4790 [4 per cell]
Mn 0.5000 0.0000 0.0000 [2 per cell]
P 0.1010 0.0504 0.7206 [4 per cell]
P 0.3838 0.7046 0.1947 [4 per cell]
O 0.1046 0.5047 0.7964 [4 per cell]
O 0.1228 0.1713 0.6064 [4 per cell]
O 0.1828 0.6306 0.1920 [4 per cell]
O 0.2206 0.1085 0.8752 [4 per cell]
O 0.3441 0.6245 0.6238 [4 per cell]
O 0.4657 0.5842 0.1079 [4 per cell]
O 0.4886 0.2040 0.1441 [4 per cell]

=====

# 3
Calculated PXRD pattern of LiMnP2O7 for Cu Ka, from the PBE+U geometry in the Materials Project.
Lines closer than 0.1° are merged.

Most intense lines, 2θ = 5–70°, by angle:
2θ 14.9, intensity 27; 2θ 22.2, intensity 100; 2θ 23.8, intensity 52; 2θ 27.5, intensity 8; 2θ 31.8, intensity 30; 2θ 33.8, intensity 11; 2θ 34.6, intensity 20; 2θ 36.4, intensity 9; 2θ 40.3, intensity 7; 2θ 44.1, intensity 11; 2θ 49.1, intensity 7; 2θ 55.1, intensity 11

Structural model:
Cell: 8.4470 5.1831 13.4631 Å, 90.00 117.82 90.00°
Space group P2_1/c (No. 14)
Unique sites:
Li 0.0582 0.2398 0.2008 [4 per cell]
Mn 0.2315 0.2389 0.9708 [4 per cell]
P 0.1874 0.7134 0.1143 [4 per cell]
P 0.3287 0.7370 0.3529 [4 per cell]
O 0.0214 0.7061 0.6283 [4 per cell]
O 0.1836 0.0780 0.5918 [4 per cell]
O 0.2007 0.5547 0.8545 [4 per cell]
O 0.2179 0.6221 0.5334 [4 per cell]
O 0.2458 0.0330 0.8410 [4 per cell]
O 0.3470 0.7249 0.7386 [4 per cell]
O 0.4840 0.2311 0.5519 [4 per cell]

=====

Question: Which formula does entry 3 have?
Answer: LiMnP2O7